Diffraction record for Pu2GaAg3. The X-ray diffraction stick pattern is simulated, not measured: it uses a structure optimized by DFT (PBE) and CuKα.
Kinematic intensities with the Lorentz-polarization factor, no thermal factor.

Most intense lines, 10° ≤ 2θ ≤ 80°, in order of rising 2θ:
d 4.646, 19.1 deg, rel. 283; d 2.852, 31.4 deg, rel. 796; d 2.821, 31.7 deg, rel. 362; d 2.811, 31.8 deg, rel. 718; d 2.430, 37.0 deg, rel. 1000; d 2.424, 37.1 deg, rel. 492; d 2.416, 37.2 deg, rel. 987; d 2.396, 37.5 deg, rel. 731; d 2.320, 38.8 deg, rel. 276; d 1.637, 56.2 deg, rel. 295

Cell and atoms:
Lattice parameters (Å, degrees): 5.623 5.623 5.643 119.12 119.12 60.83
Positions (direct):
Pu  0.125  0.125  0.376
Pu  0.875  0.875  0.624
Ga  0.500  0.500  0.000
Ag  0.000  0.500  0.000
Ag  0.500  0.000  0.000
Ag  0.500  0.500  0.500



Diffraction record for Sm2OsN4. The X-ray diffraction stick pattern is simulated, not measured: it uses a structure optimized by DFT (PBE) and CuKα.
Kinematic intensities with the Lorentz-polarization factor, no thermal factor.

Most intense lines, 10° ≤ 2θ ≤ 80°, in order of rising 2θ:
d 5.037, 17.6 deg, rel. 341; d 4.245, 20.9 deg, rel. 450; d 3.803, 23.4 deg, rel. 284; d 2.891, 30.9 deg, rel. 415; d 2.835, 31.6 deg, rel. 694; d 2.787, 32.1 deg, rel. 1000; d 2.576, 34.8 deg, rel. 254; d 2.303, 39.1 deg, rel. 947; d 2.024, 44.8 deg, rel. 397; d 1.512, 61.3 deg, rel. 245

Cell and atoms:
Lattice parameters (Å, degrees): 6.015 5.669 6.662 90.00 105.97 90.00
Positions (direct):
Sm  0.185  0.250  0.039
Sm  0.229  0.250  0.555
Sm  0.771  0.750  0.445
Sm  0.815  0.750  0.961
Os  0.283  0.750  0.810
Os  0.717  0.250  0.190
N  0.022  0.524  0.748
N  0.022  0.976  0.748
N  0.439  0.750  0.078
N  0.462  0.750  0.634
N  0.538  0.250  0.366
N  0.561  0.250  0.922
N  0.978  0.024  0.252
N  0.978  0.476  0.252



Diffraction record for Sm8Bi3Te4Pb. The X-ray diffraction stick pattern is simulated, not measured: it uses a structure optimized by DFT (PBE) and CuKα.
Kinematic intensities with the Lorentz-polarization factor, no thermal factor.

Most intense lines, 10° ≤ 2θ ≤ 80°, in order of rising 2θ:
d 3.186, 28.0 deg, rel. 1000; d 2.258, 39.9 deg, rel. 390; d 2.249, 40.1 deg, rel. 385; d 1.842, 49.5 deg, rel. 211; d 1.832, 49.8 deg, rel. 69; d 1.593, 57.9 deg, rel. 132; d 1.427, 65.4 deg, rel. 184; d 1.423, 65.6 deg, rel. 181; d 1.304, 72.5 deg, rel. 68; d 1.302, 72.6 deg, rel. 135

Cell and atoms:
Lattice parameters (Å, degrees): 8.994 8.994 8.994 60.27 60.27 60.27
Positions (direct):
Sm  0.249  0.249  0.249
Sm  0.252  0.747  0.747
Sm  0.253  0.253  0.748
Sm  0.253  0.748  0.253
Sm  0.747  0.252  0.747
Sm  0.747  0.747  0.252
Sm  0.748  0.253  0.253
Sm  0.751  0.751  0.751
Bi  0.000  0.000  0.500
Bi  0.000  0.500  0.000
Bi  0.500  0.000  0.000
Te  0.000  0.000  0.000
Te  0.000  0.500  0.500
Te  0.500  0.000  0.500
Te  0.500  0.500  0.000
Pb  0.500  0.500  0.500



Diffraction record for Th3FeCo8. The X-ray diffraction stick pattern is simulated, not measured: it uses a structure optimized by DFT (PBE) and CuKα.
Kinematic intensities with the Lorentz-polarization factor, no thermal factor.

Most intense lines, 10° ≤ 2θ ≤ 80°, in order of rising 2θ:
d 4.107, 21.6 deg, rel. 418; d 2.753, 32.5 deg, rel. 268; d 2.530, 35.5 deg, rel. 672; d 2.512, 35.7 deg, rel. 802; d 2.160, 41.8 deg, rel. 507; d 2.149, 42.1 deg, rel. 1000; d 2.143, 42.2 deg, rel. 574; d 2.054, 44.1 deg, rel. 242; d 1.454, 64.0 deg, rel. 249; d 1.256, 75.7 deg, rel. 244

Cell and atoms:
Lattice parameters (Å, degrees): 8.787 8.787 8.787 33.22 33.22 33.22
Positions (direct):
Th  0.000  0.000  0.000
Th  0.131  0.131  0.131
Th  0.610  0.610  0.610
Fe  0.488  0.488  0.488
Co  0.059  0.059  0.558
Co  0.059  0.558  0.059
Co  0.067  0.562  0.562
Co  0.311  0.311  0.311
Co  0.558  0.059  0.059
Co  0.562  0.067  0.562
Co  0.562  0.562  0.067
Co  0.812  0.812  0.812



Diffraction record for ThH6Rh3. The X-ray diffraction stick pattern is simulated, not measured: it uses a structure optimized by DFT (PBE) and CuKα.
Kinematic intensities with the Lorentz-polarization factor, no thermal factor.

Most intense lines, 10° ≤ 2θ ≤ 80°, in order of rising 2θ:
d 4.116, 21.6 deg, rel. 154; d 2.530, 35.5 deg, rel. 1000; d 2.502, 35.9 deg, rel. 486; d 1.809, 50.5 deg, rel. 94; d 1.769, 51.7 deg, rel. 174; d 1.467, 63.4 deg, rel. 93; d 1.465, 63.5 deg, rel. 93; d 1.452, 64.1 deg, rel. 90; d 1.449, 64.3 deg, rel. 222; d 1.264, 75.2 deg, rel. 85

Cell and atoms:
Lattice parameters (Å, degrees): 4.999 5.010 5.057 119.55 119.62 90.10
Positions (direct):
Th  0.000  0.000  0.000
H  0.088  0.506  0.000
H  0.130  0.113  0.605
H  0.491  0.476  0.602
H  0.495  0.908  0.000
H  0.525  0.921  0.446
H  0.856  0.506  0.363
Rh  0.252  0.744  0.498
Rh  0.487  0.508  0.994
Rh  0.754  0.246  0.499



Diffraction record for Pr4YEr2. The X-ray diffraction stick pattern is simulated, not measured: it uses a structure optimized by DFT (PBE) and CuKα.
Kinematic intensities with the Lorentz-polarization factor, no thermal factor.

Most intense lines, 10° ≤ 2θ ≤ 80°, in order of rising 2θ:
d 3.151, 28.3 deg, rel. 131; d 2.985, 29.9 deg, rel. 1000; d 2.930, 30.5 deg, rel. 348; d 2.865, 31.2 deg, rel. 622; d 2.805, 31.9 deg, rel. 366; d 2.790, 32.1 deg, rel. 273; d 2.446, 36.7 deg, rel. 251; d 1.823, 50.0 deg, rel. 201; d 1.679, 54.7 deg, rel. 157; d 1.540, 60.1 deg, rel. 143

Cell and atoms:
Lattice parameters (Å, degrees): 12.663 6.857 13.645 67.09 29.92 82.99
Positions (direct):
Pr  0.146  0.295  0.066
Pr  0.184  0.757  0.104
Pr  0.295  0.146  0.493
Pr  0.377  0.623  0.481
Pr  0.623  0.377  0.519
Pr  0.731  0.769  0.627
Pr  0.757  0.184  0.955
Pr  0.769  0.731  0.873
Y  0.004  0.004  0.996
Y  0.254  0.254  0.246
Er  0.204  0.685  0.363
Er  0.503  0.887  0.565
Er  0.685  0.204  0.747
Er  0.887  0.503  0.046



Diffraction record for Pu5Pd2Pt. The X-ray diffraction stick pattern is simulated, not measured: it uses a structure optimized by DFT (PBE) and CuKα.
Kinematic intensities with the Lorentz-polarization factor, no thermal factor.

Most intense lines, 10° ≤ 2θ ≤ 80°, in order of rising 2θ:
d 3.285, 27.1 deg, rel. 164; d 2.812, 31.8 deg, rel. 171; d 2.686, 33.4 deg, rel. 1000; d 2.490, 36.1 deg, rel. 319; d 2.397, 37.5 deg, rel. 452; d 2.203, 41.0 deg, rel. 102; d 1.696, 54.1 deg, rel. 237; d 1.650, 55.7 deg, rel. 95; d 1.572, 58.8 deg, rel. 135; d 1.341, 70.2 deg, rel. 124

Cell and atoms:
Lattice parameters (Å, degrees): 8.508 8.508 8.508 127.10 127.10 78.09
Positions (direct):
Pu  0.000  0.000  0.000
Pu  0.016  0.516  0.837
Pu  0.179  0.016  0.500
Pu  0.321  0.821  0.837
Pu  0.484  0.321  0.500
Pu  0.500  0.500  0.000
Pu  0.516  0.679  0.500
Pu  0.679  0.179  0.163
Pu  0.821  0.984  0.500
Pu  0.984  0.484  0.163
Pd  0.128  0.372  0.500
Pd  0.372  0.872  0.244
Pd  0.628  0.128  0.756
Pd  0.872  0.628  0.500
Pt  0.250  0.250  0.000
Pt  0.750  0.750  0.000



Diffraction record for Tb9Pr2Y3. The X-ray diffraction stick pattern is simulated, not measured: it uses a structure optimized by DFT (PBE) and CuKα.
Kinematic intensities with the Lorentz-polarization factor, no thermal factor.

Most intense lines, 10° ≤ 2θ ≤ 80°, in order of rising 2θ:
d 5.134, 17.3 deg, rel. 389; d 3.119, 28.6 deg, rel. 1000; d 2.899, 30.8 deg, rel. 478; d 2.882, 31.0 deg, rel. 634; d 2.829, 31.6 deg, rel. 238; d 2.743, 32.6 deg, rel. 236; d 2.727, 32.8 deg, rel. 723; d 2.513, 35.7 deg, rel. 595; d 2.409, 37.3 deg, rel. 274; d 1.569, 58.9 deg, rel. 310

Cell and atoms:
Lattice parameters (Å, degrees): 10.284 10.284 5.455 105.32 105.32 59.89
Positions (direct):
Tb  0.000  0.000  0.000
Tb  0.042  0.345  0.692
Tb  0.145  0.602  0.875
Tb  0.345  0.042  0.692
Tb  0.398  0.855  0.125
Tb  0.602  0.145  0.875
Tb  0.655  0.958  0.308
Tb  0.855  0.398  0.125
Tb  0.958  0.655  0.308
Pr  0.260  0.740  0.500
Pr  0.740  0.260  0.500
Y  0.323  0.323  0.323
Y  0.500  0.500  0.000
Y  0.677  0.677  0.677



Diffraction record for Mn3NbNi12. The X-ray diffraction stick pattern is simulated, not measured: it uses a structure optimized by DFT (PBE) and CuKα.
Kinematic intensities with the Lorentz-polarization factor, no thermal factor.

Most intense lines, 10° ≤ 2θ ≤ 80°, in order of rising 2θ:
d 7.189, 12.3 deg, rel. 6; d 3.495, 25.5 deg, rel. 5; d 3.221, 27.7 deg, rel. 5; d 2.879, 31.1 deg, rel. 6; d 2.249, 40.1 deg, rel. 8; d 2.079, 43.5 deg, rel. 1000; d 1.802, 50.7 deg, rel. 313; d 1.797, 50.8 deg, rel. 152; d 1.274, 74.5 deg, rel. 91; d 1.272, 74.6 deg, rel. 176

Cell and atoms:
Lattice parameters (Å, degrees): 3.603 3.603 14.378 90.00 90.00 90.00
Positions (direct):
Mn  0.000  0.000  0.000
Mn  0.000  0.000  0.244
Mn  0.000  0.000  0.756
Nb  0.000  0.000  0.500
Ni  0.000  0.500  0.123
Ni  0.000  0.500  0.371
Ni  0.000  0.500  0.629
Ni  0.000  0.500  0.877
Ni  0.500  0.000  0.123
Ni  0.500  0.000  0.371
Ni  0.500  0.000  0.629
Ni  0.500  0.000  0.877
Ni  0.500  0.500  0.000
Ni  0.500  0.500  0.248
Ni  0.500  0.500  0.500
Ni  0.500  0.500  0.752